1.
The following is a simulated X-ray powder pattern of Sm2CdRh2. It was derived from a DFT-relaxed cell (PBE, the Materials Project), using a wavelength of 1.5418 Å.
Peak positions follow from Bragg's law for the DFT cell and can differ from measured ones.

The 8 most intense peaks (10 to 90 degrees two-theta), most intense first:
2θ 35.2, d 2.549, I = 100; 2θ 37.5, d 2.397, I = 42; 2θ 33.1, d 2.707, I = 24; 2θ 61.6, d 1.505, I = 19; 2θ 47.0, d 1.933, I = 15; 2θ 71.3, d 1.323, I = 14; 2θ 55.3, d 1.660, I = 13; 2θ 79.6, d 1.205, I = 9

Structure:
Cell lengths 7.580, 7.580, 3.867 Å; angles 90.00, 90.00, 90.00 degrees
Space group P4/mbm (No. 127)
Unique sites:
Sm1 0.167 0.333 0.000 x4
Cd1 0.000 0.000 0.500 x2
Rh1 0.134 0.634 0.500 x4

2.
The following is a simulated X-ray powder pattern of Rb2NbCl6. It was derived from a DFT-relaxed cell (PBE, the Materials Project), using a wavelength of 1.5418 Å.
Peak positions follow from Bragg's law for the DFT cell and can differ from measured ones.

The 8 most intense peaks (10 to 90 degrees two-theta), most intense first:
2θ 34.5, d 2.600, I = 100; 2θ 24.2, d 3.677, I = 86; 2θ 29.8, d 3.002, I = 75; 2θ 14.8, d 6.004, I = 68; 2θ 49.6, d 1.838, I = 64; 2θ 42.6, d 2.123, I = 37; 2θ 83.1, d 1.163, I = 26; 2θ 58.9, d 1.568, I = 24

Structure:
Cell lengths 10.400, 10.400, 10.400 Å; angles 90.00, 90.00, 90.00 degrees
Space group Fm-3m (No. 225)
Unique sites:
Rb1 0.250 0.250 0.250 x8
Nb1 0.000 0.000 0.000 x4
Cl1 0.000 0.000 0.234 x24

3.
The following is a simulated X-ray powder pattern of NdCdIn. It was derived from a DFT-relaxed cell (PBE, the Materials Project), using a wavelength of 1.5418 Å.
Peak positions follow from Bragg's law for the DFT cell and can differ from measured ones.

The 8 most intense peaks (10 to 90 degrees two-theta), most intense first:
2θ 31.1, d 2.878, I = 100; 2θ 36.3, d 2.474, I = 77; 2θ 48.5, d 1.876, I = 29; 2θ 62.1, d 1.495, I = 27; 2θ 60.6, d 1.527, I = 16; 2θ 40.7, d 2.216, I = 15; 2θ 65.3, d 1.429, I = 13; 2θ 85.4, d 1.137, I = 11

Structure:
Cell lengths 4.9489, 4.9489, 7.7663 Å; angles 90.00, 90.00, 120.00 degrees
Space group P-3m1 (No. 164)
Unique sites:
Nd1 0.0000 0.0000 0.2386 x2
Cd1 0.3333 0.6667 0.9743 x2
In1 0.3333 0.6667 0.5522 x2

4.
The following is a simulated X-ray powder pattern of SmTlP2Se6. It was derived from a DFT-relaxed cell (PBE, the Materials Project), using a wavelength of 1.5418 Å.
Peak positions follow from Bragg's law for the DFT cell and can differ from measured ones.

The 8 most intense peaks (10 to 90 degrees two-theta), most intense first:
2θ 28.8, d 3.104, I = 100; 2θ 24.5, d 3.631, I = 91; 2θ 29.7, d 3.006, I = 74; 2θ 34.8, d 2.578, I = 71; 2θ 31.4, d 2.851, I = 69; 2θ 17.2, d 5.169, I = 67; 2θ 34.7, d 2.588, I = 57; 2θ 29.5, d 3.033, I = 51

Structure:
Cell lengths 6.912, 7.756, 10.355 Å; angles 90.00, 91.00, 90.00 degrees
Space group P2_1 (No. 4)
Unique sites:
Sm1 0.213 0.000 0.002 x2
Tl1 0.312 0.219 0.507 x2
P1 0.192 0.726 0.298 x2
P2 0.312 0.509 0.177 x2
Se1 0.068 0.308 0.822 x2
Se2 0.076 0.311 0.175 x2
Se3 0.156 0.635 0.493 x2
Se4 0.364 0.629 0.983 x2
Se5 0.403 0.933 0.270 x2
Se6 0.412 0.913 0.743 x2

5.
The following is a simulated X-ray powder pattern of VPb3N3. It was derived from a DFT-relaxed cell (PBE, the Materials Project), using a wavelength of 1.5418 Å.
Peak positions follow from Bragg's law for the DFT cell and can differ from measured ones.

The 8 most intense peaks (10 to 90 degrees two-theta), most intense first:
2θ 27.4, d 3.260, I = 100; 2θ 29.4, d 3.037, I = 85; 2θ 29.6, d 3.021, I = 44; 2θ 49.9, d 1.829, I = 41; 2θ 11.0, d 8.036, I = 37; 2θ 53.6, d 1.710, I = 33; 2θ 35.5, d 2.531, I = 30; 2θ 49.5, d 1.840, I = 28

Structure:
Cell lengths 9.274, 4.581, 9.280 Å; angles 90.00, 119.97, 90.00 degrees
Space group P2_1/m (No. 11)
Unique sites:
V1 0.167 0.250 0.333 x2
Pb1 0.095 0.250 0.905 x2
Pb2 0.190 0.750 0.595 x2
Pb3 0.406 0.750 0.310 x2
N1 0.030 0.250 0.113 x2
N2 0.083 0.250 0.470 x2
N3 0.387 0.250 0.417 x2